Structure and computed powder diffraction line list of LaCrCoO6 (DFT lattice parameters and positions (GGA+U); Cu Kα, 1.54184 Å).

Main lines, by angle (10° ≤ 2θ ≤ 90°):
| d (Å) | two_theta | intensity |
| --- | --- | --- |
| 4.822 | 18.4 | 63 |
| 4.282 | 20.7 | 74 |
| 4.238 | 21.0 | 46 |
| 3.536 | 25.2 | 36 |
| 3.512 | 25.4 | 43 |
| 3.231 | 27.6 | 72 |
| 2.751 | 32.6 | 47 |
| 2.728 | 32.8 | 49 |
| 2.680 | 33.4 | 100 |
| 2.581 | 34.8 | 37 |

Atomic structure:
```
data_LaCrCoO6
_chemical_formula_sum 'La2 Cr2 Co2 O12'
_cell_length_a 5.1628
_cell_length_b 6.2716
_cell_length_c 9.0926
_cell_angle_alpha 90.00
_cell_angle_beta 123.97
_cell_angle_gamma 90.00
_space_group_name_H-M_alt 'P 1'
_space_group_IT_number 1
loop_
_space_group_symop_operation_xyz
'x,y,z'
loop_
_atom_site_label
_atom_site_type_symbol
_atom_site_fract_x
_atom_site_fract_y
_atom_site_fract_z
_atom_site_occupancy
La1 La 0.0000 0.1099 0.0000 1
La2 La 0.0000 0.8901 0.5000 1
Cr1 Cr 0.7547 0.3371 0.2688 1
Cr2 Cr 0.7547 0.6629 0.7688 1
Co1 Co 0.2163 0.3344 0.7657 1
Co2 Co 0.2163 0.6656 0.2657 1
O1 O 0.0783 0.2852 0.4729 1
O2 O 0.0783 0.7148 0.9729 1
O3 O 0.4294 0.2909 0.0056 1
O4 O 0.4294 0.7091 0.5056 1
O5 O 0.5532 0.1196 0.2750 1
O6 O 0.5532 0.8804 0.7750 1
O7 O 0.6144 0.4337 0.7928 1
O8 O 0.6144 0.5663 0.2928 1
O9 O 0.9745 0.1064 0.7112 1
O10 O 0.9745 0.8936 0.2112 1
O11 O 0.9833 0.4039 0.1804 1
O12 O 0.9833 0.5961 0.6804 1
```